(1)
Diffraction record for Sr3HPd. The PXRD pattern is calculated, not measured: it uses a cell relaxed with PBE and a wavelength of 1.5418 Å.
Lines closer than 0.1° are merged.

The 10 most intense peaks (15 to 90 degrees two-theta), in order of rising 2θ:
- 2θ 26.80, rel. 32
- 2θ 27.89, rel. 41
- 2θ 30.30, rel. 100
- 2θ 32.34, rel. 15
- 2θ 32.46, rel. 14
- 2θ 34.76, rel. 36
- 2θ 38.06, rel. 29
- 2θ 39.93, rel. 17
- 2θ 44.30, rel. 20
- 2θ 53.55, rel. 24

Structure:
```
Sr3HPd
1.0
8.683 0.000 0.000
0.000 4.089 0.000
-2.635 0.000 8.304
Sr H Pd
6 2 2
Cartesian
-0.318 0.000 2.549
2.512 0.000 0.458
1.278 2.045 5.438
4.770 2.045 2.866
3.536 0.000 7.846
6.365 0.000 5.755
-1.318 2.045 4.152
4.341 2.045 0.000
0.000 2.045 0.000
3.024 0.000 4.152
```



(2)
Diffraction record for Sc3CoHg. The PXRD pattern is calculated, not measured: it uses a cell relaxed with PBE and a wavelength of 1.5418 Å.
Lines closer than 0.1° are merged.

The 10 most intense peaks (15 to 90 degrees two-theta), in order of rising 2θ:
- 2θ 23.07, rel. 91
- 2θ 23.35, rel. 34
- 2θ 30.84, rel. 46
- 2θ 38.18, rel. 100
- 2θ 38.36, rel. 56
- 2θ 40.36, rel. 23
- 2θ 40.87, rel. 41
- 2θ 47.15, rel. 22
- 2θ 51.52, rel. 22
- 2θ 56.90, rel. 21

Structure:
```
Sc3CoHg
1.0
4.469 -2.978 0.000
4.469 2.978 0.000
-4.461 0.000 7.620
Sc Co Hg
6 2 2
Cartesian
-0.519 0.000 2.069
2.237 0.000 0.741
-0.517 0.000 5.549
4.995 0.000 2.070
2.241 0.000 6.879
4.997 0.000 5.551
4.469 1.489 0.000
4.469 -1.489 0.000
2.239 1.348 3.810
2.239 -1.348 3.810
```



(3)
Diffraction record for PmTe7Pb5. The PXRD pattern is calculated, not measured: it uses a cell relaxed with PBE and a wavelength of 1.5418 Å.
Lines closer than 0.1° are merged.

The 10 most intense peaks (15 to 90 degrees two-theta), in order of rising 2θ:
- 2θ 23.00, rel. 26
- 2θ 26.14, rel. 24
- 2θ 26.36, rel. 25
- 2θ 26.99, rel. 100
- 2θ 28.03, rel. 74
- 2θ 36.64, rel. 19
- 2θ 36.71, rel. 21
- 2θ 38.96, rel. 21
- 2θ 39.62, rel. 35
- 2θ 39.69, rel. 41

Structure:
```
PmTe7Pb5
1.0
7.744 -2.271 0.000
7.744 2.271 0.000
-0.174 0.000 26.668
Pm Te Pb
2 14 10
Cartesian
0.000 0.000 0.000
9.190 0.000 13.349
0.152 0.000 11.256
2.334 0.000 20.714
2.828 0.000 5.293
3.670 0.000 12.932
5.508 0.000 26.229
6.632 0.000 18.797
7.105 0.000 7.278
9.364 0.000 25.027
9.780 0.000 1.197
10.643 0.000 16.377
11.399 0.000 9.195
13.561 0.000 22.619
14.301 0.000 3.024
15.121 0.000 14.876
1.034 0.000 17.649
1.504 0.000 8.414
3.857 0.000 23.597
4.445 0.000 2.376
5.134 0.000 15.626
5.607 0.000 10.469
7.988 0.000 21.561
8.474 0.000 4.521
12.265 0.000 19.737
12.678 0.000 6.405
```



(4)
Diffraction record for K3Sn2S3BrO3. The PXRD pattern is calculated, not measured: it uses a cell relaxed with PBE and a wavelength of 1.5418 Å.
Lines closer than 0.1° are merged.

The 10 most intense peaks (15 to 90 degrees two-theta), in order of rising 2θ:
- 2θ 15.58, rel. 100
- 2θ 25.14, rel. 81
- 2θ 28.76, rel. 58
- 2θ 29.03, rel. 57
- 2θ 29.18, rel. 70
- 2θ 30.04, rel. 82
- 2θ 30.29, rel. 94
- 2θ 30.39, rel. 64
- 2θ 30.89, rel. 79
- 2θ 37.10, rel. 43

Structure:
```
K3Sn2S3BrO3
1.0
9.438 0.000 0.000
0.000 7.576 0.000
-3.953 0.000 8.825
K Sn S Br O
6 4 6 2 6
Cartesian
-1.000 0.000 2.365
1.243 4.169 2.376
1.149 5.494 6.146
4.336 1.706 2.679
4.242 0.381 6.449
6.485 3.788 6.460
-1.306 6.835 8.798
0.102 1.726 5.723
5.383 5.514 3.101
6.791 3.048 0.027
-1.839 0.039 5.628
1.678 0.367 4.186
0.831 0.771 8.156
4.653 4.559 0.669
3.807 4.155 4.639
7.324 3.827 3.197
0.866 1.474 0.059
4.619 5.262 8.766
-1.503 6.355 6.712
1.070 6.518 3.700
3.450 3.558 0.900
2.035 7.346 7.924
4.415 2.730 5.125
6.988 2.567 2.113
```



(5)
Diffraction record for HfCu2Pd7. The PXRD pattern is calculated, not measured: it uses a cell relaxed with PBE and a wavelength of 1.5418 Å.
Lines closer than 0.1° are merged.

The 10 most intense peaks (15 to 90 degrees two-theta), in order of rising 2θ:
- 2θ 25.36, rel. 48
- 2θ 32.52, rel. 40
- 2θ 35.69, rel. 43
- 2θ 38.02, rel. 66
- 2θ 42.65, rel. 50
- 2θ 43.75, rel. 81
- 2θ 43.86, rel. 100
- 2θ 58.45, rel. 37
- 2θ 78.90, rel. 31
- 2θ 79.79, rel. 26

Structure:
```
HfCu2Pd7
1.0
3.622 -6.250 0.000
3.622 6.250 0.000
0.000 0.000 4.240
Hf Cu Pd
1 2 7
Cartesian
0.000 0.000 0.000
3.622 2.467 2.120
3.622 -2.467 2.120
1.344 1.401 2.120
3.622 3.658 0.000
1.344 -1.401 2.120
3.622 0.000 2.120
5.899 1.401 2.120
3.622 -3.658 0.000
5.899 -1.401 2.120
```



(6)
Diffraction record for Rb4ScBr5. The PXRD pattern is calculated, not measured: it uses a cell relaxed with PBE and a wavelength of 1.5418 Å.
Lines closer than 0.1° are merged.

The 10 most intense peaks (15 to 90 degrees two-theta), in order of rising 2θ:
- 2θ 24.64, rel. 53
- 2θ 26.75, rel. 100
- 2θ 34.57, rel. 12
- 2θ 36.68, rel. 76
- 2θ 38.18, rel. 31
- 2θ 45.97, rel. 28
- 2θ 50.50, rel. 11
- 2θ 56.96, rel. 9
- 2θ 58.09, rel. 22
- 2θ 68.03, rel. 10

Structure:
```
Rb4ScBr5
1.0
-5.270 5.270 3.614
5.270 -5.270 3.614
5.270 5.270 -3.614
Rb Sc Br
4 1 5
Cartesian
3.066 0.941 0.000
4.329 -2.204 3.614
0.941 7.474 0.000
2.204 4.329 3.614
0.000 0.000 3.475
6.148 2.510 -0.070
2.510 4.392 -0.070
2.760 0.878 3.544
-0.878 2.760 3.544
0.000 0.000 6.254
```